Diffraction record for Rb2SnSbSe4. The powder diffraction line list is simulated, not measured: it uses DFT lattice parameters and positions (PBE) and CuKα.
Intensities are scaled so that the largest is 100.

Structure:
```
data_Rb2SnSbSe4
_chemical_formula_sum 'Rb4 Sn2 Sb2 Se8'
_space_group_name_H-M_alt 'I -4 2 m'
_space_group_IT_number 121
_space_group_name_Hall 'I -4 2'
_cell_length_a 8.466
_cell_length_b 8.466
_cell_length_c 7.397
_cell_angle_alpha 90.00
_cell_angle_beta 90.00
_cell_angle_gamma 90.00
loop_
_atom_site_label
_atom_site_fract_x
_atom_site_fract_y
_atom_site_fract_z
_atom_site_occupancy
Rb1 0.000 0.500 0.000 1
Sn1 0.000 0.000 0.000 1
Sb1 0.000 0.000 0.500 1
Se1 0.175 0.175 0.754 1
```

The 12 most intense peaks (10 to 90 degrees two-theta), in order of falling intensity:
32.14 deg, I 100, hkl 2 0 2; 26.45 deg, I 49, hkl 2 1 1; 29.85 deg, I 46, hkl 2 2 0; 49.63 deg, I 21, hkl 4 0 2; 20.99 deg, I 21, hkl 2 0 0; 48.07 deg, I 20, hkl 4 2 0; 75.54 deg, I 16, hkl 6 2 2; 14.80 deg, I 16, hkl 1 1 0; 38.70 deg, I 16, hkl 2 2 2; 54.45 deg, I 16, hkl 4 2 2; 45.87 deg, I 15, hkl 4 1 1; 58.69 deg, I 13, hkl 2 2 4

Diffraction record for Rb2ZrSbSe. The powder diffraction line list is simulated, not measured: it uses DFT lattice parameters and positions (PBE) and CuKα.
Intensities are scaled so that the largest is 100.

Structure:
```
data_Rb2ZrSbSe
_chemical_formula_sum 'Rb2 Zr1 Sb1 Se1'
_space_group_name_H-M_alt 'P 4/m m m'
_space_group_IT_number 123
_space_group_name_Hall '-P 4 2'
_cell_length_a 7.090
_cell_length_b 7.090
_cell_length_c 5.376
_cell_angle_alpha 90.00
_cell_angle_beta 90.00
_cell_angle_gamma 90.00
loop_
_atom_site_label
_atom_site_fract_x
_atom_site_fract_y
_atom_site_fract_z
_atom_site_occupancy
Rb1 0.000 0.500 0.000 1
Zr1 0.000 0.000 0.500 1
Sb1 0.500 0.500 0.000 1
Se1 0.500 0.500 0.500 1
```

The 12 most intense peaks (10 to 90 degrees two-theta), in order of falling intensity:
25.12 deg, I 100, hkl 2 0 0; 24.28 deg, I 51, hkl 1 1 1; 42.19 deg, I 49, hkl 2 0 2; 35.82 deg, I 39, hkl 2 2 0; 49.73 deg, I 30, hkl 2 2 2; 20.73 deg, I 26, hkl 1 0 1; 12.49 deg, I 26, hkl 1 0 0; 33.33 deg, I 24, hkl 0 0 2; 68.74 deg, I 22, hkl 4 2 2; 58.19 deg, I 21, hkl 4 2 0; 43.75 deg, I 20, hkl 3 1 1; 32.79 deg, I 16, hkl 2 1 1